Structure and simulated powder diffractogram of RbCd2PdF8 (a crystal structure in Alexandria, relaxed with GGA-PBE; Cu Kα X-rays).
Peak positions follow from Bragg's law for the DFT cell and can differ from measured ones.

Principal peaks in the range 2θ from 15° to 90°, by angle:
two_theta  d/Å  I/Imax  index
23.65  3.762  100.0  1 0 -1
24.29  3.665  84.1  1 0 1
29.67  3.011  88.3  0 2 1
30.08  2.971  59.0  1 2 0
45.22  2.005  43.1  1 2 -2
45.94  1.975  39.5  1 2 2

a b c (Å): 5.148 7.278 5.362
angles (deg): 90.00 91.50 90.00
Space group P2/m (No. 10)
Unique sites:
Rb 0.000 0.000 0.000 (multiplicity 1)
Cd 0.500 0.256 0.500 (multiplicity 2)
Pd 0.000 0.500 0.000 (multiplicity 1)
F 0.153 0.310 0.228 (multiplicity 4)
F 0.332 0.500 0.723 (multiplicity 2)
F 0.418 0.000 0.722 (multiplicity 2)